Record 1
Diffraction record for Y2InGa2Ir5. The PXRD pattern is computed, not measured: it uses DFT lattice parameters and positions (PBE) and CuKα.
Intensities are scaled so that the largest is 100.

Largest 10 diffraction maxima, sorted by position, 2θ from 5° to 70°:
2θ = 24.27°, d = 3.667 Å, intensity 21.6, hkl 0 0 1
2θ = 31.82°, d = 2.812 Å, intensity 18.1, hkl 2 1 1
2θ = 35.65°, d = 2.519 Å, intensity 25.7, hkl 2 2 1
2θ = 37.85°, d = 2.377 Å, intensity 48.4, hkl 4 1 0
2θ = 38.01°, d = 2.367 Å, intensity 100.0, hkl 3 1 1
2θ = 41.19°, d = 2.191 Å, intensity 22.4, hkl 4 2 0
2θ = 41.35°, d = 2.184 Å, intensity 45.8, hkl 3 2 1
2θ = 45.47°, d = 1.995 Å, intensity 15.6, hkl 4 1 1
2θ = 49.73°, d = 1.834 Å, intensity 25.2, hkl 0 0 2
2θ = 64.15°, d = 1.452 Å, intensity 20.7, hkl 4 1 2

Structure:
Cell lengths 9.8003, 9.8003, 3.6671 Å; angles 90.00, 90.00, 90.00 degrees
Space group P4/mbm (No. 127)
One atom of each set of equivalent atoms:
Y1 0.1753 0.3247 0.0000 (multiplicity 4)
In1 0.0000 0.0000 0.0000 (multiplicity 2)
Ga1 0.1233 0.6233 0.0000 (multiplicity 4)
Ir1 0.0000 0.5000 0.5000 (multiplicity 2)
Ir2 0.0660 0.7904 0.5000 (multiplicity 8)


Record 2
Diffraction record for K2InGa7. The PXRD pattern is computed, not measured: it uses DFT lattice parameters and positions (PBE) and CuKα.
Intensities are scaled so that the largest is 100.

Largest 10 diffraction maxima, sorted by position, 2θ from 5° to 70°:
2θ = 15.70°, d = 5.644 Å, intensity 30.5, hkl 0 0 2
2θ = 20.93°, d = 4.244 Å, intensity 27.8, hkl 1 0 1
2θ = 30.75°, d = 2.907 Å, intensity 32.3, hkl 1 0 3
2θ = 31.86°, d = 2.809 Å, intensity 100.0, hkl 1 1 2
2θ = 39.35°, d = 2.290 Å, intensity 67.8, hkl 2 0 0
2θ = 42.49°, d = 2.128 Å, intensity 62.4, hkl 1 1 4
2θ = 44.75°, d = 2.025 Å, intensity 20.7, hkl 1 0 5
2θ = 56.87°, d = 1.619 Å, intensity 22.1, hkl 2 2 0
2θ = 61.09°, d = 1.517 Å, intensity 15.5, hkl 2 1 5
2θ = 66.67°, d = 1.403 Å, intensity 22.6, hkl 3 1 2

Structure:
Cell lengths 4.5796, 4.5796, 11.2889 Å; angles 90.00, 90.00, 90.00 degrees
Space group P-4m2 (No. 115)
One atom of each set of equivalent atoms:
K1 0.0000 0.5000 0.2435 (multiplicity 2)
In1 0.0000 0.0000 0.5000 (multiplicity 1)
Ga1 0.0000 0.0000 0.0000 (multiplicity 1)
Ga2 0.0000 0.5000 0.6429 (multiplicity 2)
Ga3 0.0000 0.5000 0.8724 (multiplicity 2)
Ga4 0.5000 0.5000 0.0000 (multiplicity 1)
Ga5 0.5000 0.5000 0.5000 (multiplicity 1)


Record 3
Diffraction record for KIn12Ga4. The PXRD pattern is computed, not measured: it uses DFT lattice parameters and positions (PBE) and CuKα.
Intensities are scaled so that the largest is 100.

Largest 10 diffraction maxima, sorted by position, 2θ from 5° to 70°:
2θ = 12.68°, d = 6.983 Å, intensity 8.1, hkl 1 1 0
2θ = 28.59°, d = 3.123 Å, intensity 100.0, hkl 3 0 1
2θ = 33.97°, d = 2.639 Å, intensity 30.4, hkl 3 1 2
2θ = 40.87°, d = 2.208 Å, intensity 25.8, hkl 4 0 2
2θ = 42.96°, d = 2.105 Å, intensity 9.7, hkl 3 3 2
2θ = 44.97°, d = 2.016 Å, intensity 19.0, hkl 4 2 2
2θ = 46.92°, d = 1.937 Å, intensity 32.3, hkl 4 3 1
2θ = 54.16°, d = 1.694 Å, intensity 9.3, hkl 5 3 0
2θ = 55.86°, d = 1.646 Å, intensity 7.9, hkl 6 0 0
2θ = 63.94°, d = 1.456 Å, intensity 15.6, hkl 6 1 3

Structure:
Cell lengths 9.8749, 9.8749, 9.8749 Å; angles 90.00, 90.00, 90.00 degrees
Space group Im-3 (No. 204)
One atom of each set of equivalent atoms:
K1 0.0000 0.0000 0.0000 (multiplicity 2)
In1 0.0000 0.3492 0.1567 (multiplicity 24)
Ga1 0.2500 0.2500 0.2500 (multiplicity 8)


Record 4
Diffraction record for KInGa. The PXRD pattern is computed, not measured: it uses DFT lattice parameters and positions (PBE) and CuKα.
Intensities are scaled so that the largest is 100.

Largest 10 diffraction maxima, sorted by position, 2θ from 5° to 70°:
2θ = 10.74°, d = 8.239 Å, intensity 100.0, hkl 0 0 2
2θ = 21.95°, d = 4.050 Å, intensity 21.0, hkl 1 0 2
2θ = 26.11°, d = 3.413 Å, intensity 14.3, hkl 1 1 0
2θ = 28.01°, d = 3.186 Å, intensity 27.2, hkl 0 1 4
2θ = 28.95°, d = 3.084 Å, intensity 35.7, hkl 1 0 4
2θ = 32.49°, d = 2.756 Å, intensity 17.0, hkl 0 1 5
2θ = 34.12°, d = 2.628 Å, intensity 51.3, hkl 1 1 4
2θ = 38.72°, d = 2.325 Å, intensity 24.7, hkl 2 0 0
2θ = 41.21°, d = 2.191 Å, intensity 31.5, hkl 1 2 1
2θ = 42.24°, d = 2.140 Å, intensity 21.9, hkl 1 1 6

Structure:
Cell lengths 4.6509, 5.0240, 16.4780 Å; angles 90.00, 90.00, 90.00 degrees
Space group P2_12_12_1 (No. 19)
One atom of each set of equivalent atoms:
K1 0.2479 0.0541 0.1730 (multiplicity 4)
In1 0.2474 0.9077 0.9104 (multiplicity 4)
Ga1 0.2472 0.4178 0.9986 (multiplicity 4)


Record 5
Diffraction record for K3In3Ga8. The PXRD pattern is computed, not measured: it uses DFT lattice parameters and positions (PBE) and CuKα.
Intensities are scaled so that the largest is 100.

Largest 10 diffraction maxima, sorted by position, 2θ from 5° to 70°:
2θ = 16.90°, d = 5.245 Å, intensity 15.2, hkl 0 2 0
2θ = 20.48°, d = 4.336 Å, intensity 16.4, hkl 0 1 3
2θ = 31.91°, d = 2.805 Å, intensity 100.0, hkl 1 2 3
2θ = 34.51°, d = 2.599 Å, intensity 30.4, hkl 1 3 2
2θ = 37.79°, d = 2.381 Å, intensity 31.9, hkl 0 0 6
2θ = 38.90°, d = 2.315 Å, intensity 31.8, hkl 2 0 0
2θ = 41.05°, d = 2.199 Å, intensity 14.7, hkl 1 3 4
2θ = 44.00°, d = 2.058 Å, intensity 17.4, hkl 1 4 3
2θ = 55.35°, d = 1.660 Å, intensity 20.2, hkl 2 0 6
2θ = 59.82°, d = 1.546 Å, intensity 15.6, hkl 1 6 3

Structure:
Cell lengths 4.6300, 10.4897, 14.2847 Å; angles 90.00, 90.00, 90.00 degrees
Space group Immm (No. 71)
One atom of each set of equivalent atoms:
K1 0.0000 0.0000 0.0000 (multiplicity 2)
K2 0.0000 0.0000 0.3075 (multiplicity 4)
In1 0.0000 0.2101 0.5000 (multiplicity 4)
In2 0.0000 0.5000 0.0000 (multiplicity 2)
Ga1 0.0000 0.2645 0.1611 (multiplicity 8)
Ga2 0.0000 0.3728 0.3343 (multiplicity 8)


Record 6
Diffraction record for K2In17Ga3. The PXRD pattern is computed, not measured: it uses DFT lattice parameters and positions (PBE) and CuKα.
Intensities are scaled so that the largest is 100.

Largest 10 diffraction maxima, sorted by position, 2θ from 5° to 70°:
2θ = 10.23°, d = 8.647 Å, intensity 41.8, hkl 1 0 1
2θ = 15.26°, d = 5.806 Å, intensity 41.2, hkl 1 1 0
2θ = 30.80°, d = 2.903 Å, intensity 100.0, hkl 2 2 0
2θ = 31.02°, d = 2.882 Å, intensity 37.3, hkl 0 3 3
2θ = 31.67°, d = 2.826 Å, intensity 94.4, hkl 0 0 6
2θ = 34.75°, d = 2.582 Å, intensity 97.0, hkl 2 2 3
2θ = 35.35°, d = 2.539 Å, intensity 44.3, hkl 1 1 6
2θ = 36.12°, d = 2.487 Å, intensity 38.2, hkl 4 0 1
2θ = 44.76°, d = 2.025 Å, intensity 48.7, hkl 2 2 6
2θ = 64.16°, d = 1.451 Å, intensity 31.0, hkl 4 4 0

Structure:
Cell lengths 11.6116, 11.6116, 16.9428 Å; angles 90.00, 90.00, 120.00 degrees
Space group R-3m (No. 166, hexagonal axes)
One atom of each set of equivalent atoms:
K1 0.0000 0.0000 0.1471 (multiplicity 6)
In1 0.0000 0.0000 0.3909 (multiplicity 6)
In2 0.0000 0.2625 0.5000 (multiplicity 18)
In3 0.0000 0.5000 0.0000 (multiplicity 9)
In4 0.0031 0.5016 0.6660 (multiplicity 18)
Ga1 0.0000 0.5000 0.5000 (multiplicity 9)


Record 7
Diffraction record for K3In3Ga2. The PXRD pattern is computed, not measured: it uses DFT lattice parameters and positions (PBE) and CuKα.
Intensities are scaled so that the largest is 100.

Largest 10 diffraction maxima, sorted by position, 2θ from 5° to 70°:
2θ = 17.48°, d = 5.075 Å, intensity 80.1, hkl 1 1 0
2θ = 19.26°, d = 4.608 Å, intensity 30.0, hkl 0 2 2
2θ = 28.33°, d = 3.151 Å, intensity 42.5, hkl 1 1 4
2θ = 30.65°, d = 2.917 Å, intensity 100.0, hkl 1 3 2
2θ = 31.47°, d = 2.843 Å, intensity 74.3, hkl 2 0 0
2θ = 32.98°, d = 2.716 Å, intensity 59.2, hkl 1 1 5
2θ = 36.38°, d = 2.469 Å, intensity 28.8, hkl 1 3 4
2θ = 37.17°, d = 2.419 Å, intensity 36.0, hkl 0 2 6
2θ = 43.25°, d = 2.092 Å, intensity 31.1, hkl 1 5 0
2θ = 49.47°, d = 1.842 Å, intensity 20.4, hkl 2 2 6

Structure:
Cell lengths 5.6863, 11.2471, 16.0753 Å; angles 90.00, 90.00, 90.00 degrees
Space group Cmcm (No. 63)
One atom of each set of equivalent atoms:
K1 0.0000 0.0046 0.2500 (multiplicity 4)
K2 0.0000 0.1688 0.0361 (multiplicity 8)
In1 0.0000 0.3155 0.2500 (multiplicity 4)
In2 0.0000 0.4883 0.0957 (multiplicity 8)
Ga1 0.0000 0.2792 0.6689 (multiplicity 8)


Record 8
Diffraction record for KIn3Ga3. The PXRD pattern is computed, not measured: it uses DFT lattice parameters and positions (PBE) and CuKα.
Intensities are scaled so that the largest is 100.

Largest 10 diffraction maxima, sorted by position, 2θ from 5° to 70°:
2θ = 18.00°, d = 4.928 Å, intensity 34.0, hkl 1 1 0
2θ = 27.65°, d = 3.226 Å, intensity 34.6, hkl 1 2 0
2θ = 28.90°, d = 3.089 Å, intensity 93.4, hkl 2 0 1
2θ = 34.26°, d = 2.617 Å, intensity 100.0, hkl 2 1 1
2θ = 37.45°, d = 2.401 Å, intensity 47.4, hkl 3 0 1
2θ = 38.01°, d = 2.367 Å, intensity 44.6, hkl 3 1 0
2θ = 40.29°, d = 2.239 Å, intensity 36.2, hkl 0 0 2
2θ = 46.37°, d = 1.958 Å, intensity 25.3, hkl 3 2 0
2θ = 53.27°, d = 1.720 Å, intensity 26.6, hkl 1 4 1
2θ = 56.58°, d = 1.627 Å, intensity 27.1, hkl 3 1 2

Structure:
Cell lengths 9.8560, 9.8560, 4.4772 Å; angles 90.00, 90.00, 120.00 degrees
Space group P6_3/m (No. 176)
One atom of each set of equivalent atoms:
K1 0.3333 0.6667 0.2500 (multiplicity 2)
In1 0.0808 0.8030 0.7500 (multiplicity 6)
Ga1 0.0543 0.4751 0.7500 (multiplicity 6)


Record 9
Diffraction record for K2In3Ga4Pb. The PXRD pattern is computed, not measured: it uses DFT lattice parameters and positions (PBE) and CuKα.
Intensities are scaled so that the largest is 100.

Largest 10 diffraction maxima, sorted by position, 2θ from 5° to 70°:
2θ = 14.83°, d = 5.975 Å, intensity 44.1, hkl 0 0 2
2θ = 19.79°, d = 4.485 Å, intensity 37.2, hkl 1 0 1
2θ = 27.11°, d = 3.290 Å, intensity 22.5, hkl 1 1 1
2θ = 29.03°, d = 3.075 Å, intensity 31.4, hkl 1 0 3
2θ = 30.10°, d = 2.969 Å, intensity 100.0, hkl 1 1 2
2θ = 37.16°, d = 2.420 Å, intensity 70.4, hkl 2 0 0
2θ = 40.07°, d = 2.250 Å, intensity 75.8, hkl 1 1 4
2θ = 53.57°, d = 1.711 Å, intensity 23.9, hkl 2 2 0
2θ = 62.67°, d = 1.482 Å, intensity 23.7, hkl 3 1 2
2θ = 68.95°, d = 1.362 Å, intensity 30.1, hkl 3 1 4

Structure:
Cell lengths 4.8390, 4.8390, 11.9502 Å; angles 90.00, 90.00, 90.00 degrees
Space group P-4m2 (No. 115)
One atom of each set of equivalent atoms:
K1 0.0000 0.5000 0.2432 (multiplicity 2)
In1 0.0000 0.5000 0.8714 (multiplicity 2)
In2 0.5000 0.5000 0.5000 (multiplicity 1)
Ga1 0.0000 0.0000 0.0000 (multiplicity 1)
Ga2 0.0000 0.5000 0.6413 (multiplicity 2)
Ga3 0.5000 0.5000 0.0000 (multiplicity 1)
Pb1 0.0000 0.0000 0.5000 (multiplicity 1)


Record 10
Diffraction record for KInGaPt. The PXRD pattern is computed, not measured: it uses DFT lattice parameters and positions (PBE) and CuKα.
Intensities are scaled so that the largest is 100.

Largest 10 diffraction maxima, sorted by position, 2θ from 5° to 70°:
2θ = 13.85°, d = 6.395 Å, intensity 100.0, hkl 0 0 3
2θ = 24.82°, d = 3.587 Å, intensity 22.9, hkl 0 1 2
2θ = 27.90°, d = 3.198 Å, intensity 13.2, hkl 0 0 6
2θ = 32.88°, d = 2.724 Å, intensity 53.2, hkl 0 1 5
2θ = 40.38°, d = 2.233 Å, intensity 50.8, hkl 1 1 0
2θ = 42.89°, d = 2.108 Å, intensity 37.8, hkl 1 1 3
2θ = 44.45°, d = 2.038 Å, intensity 17.8, hkl 0 1 8
2θ = 49.80°, d = 1.831 Å, intensity 15.9, hkl 1 1 6
2θ = 53.02°, d = 1.727 Å, intensity 13.5, hkl 2 0 5
2θ = 68.71°, d = 1.366 Å, intensity 12.2, hkl 1 2 5

Structure:
Cell lengths 4.4664, 4.4664, 19.1860 Å; angles 90.00, 90.00, 120.00 degrees
Space group R3m (No. 160, hexagonal axes)
One atom of each set of equivalent atoms:
K1 0.0000 0.0000 0.0000 (multiplicity 3)
In1 0.0000 0.0000 0.1958 (multiplicity 3)
Ga1 0.0000 0.0000 0.4577 (multiplicity 3)
Pt1 0.0000 0.0000 0.8076 (multiplicity 3)